Entry 1:
This entry pairs a crystal structure of Na3Sr3GaP4 with its calculated powder X-ray diffraction pattern. Radiation: Cu Kα (weighted mean of Kα1 and Kα2). Structure: a DFT-relaxed cell (PBE, Alexandria).
Kinematic intensities with the Lorentz-polarization factor, no thermal factor.

Largest 8 diffraction maxima, low angle first, 2θ from 10° to 90°:
d 8.164, 10.8 deg, I = 89.8, hkl 1 0 0; d 4.082, 21.8 deg, I = 18.5, hkl 2 0 0; d 3.369, 26.5 deg, I = 20.1, hkl 1 0 2; d 2.848, 31.4 deg, I = 59.5, hkl 2 1 1; d 2.741, 32.7 deg, I = 100.0, hkl 2 0 2; d 2.554, 35.1 deg, I = 20.7, hkl 3 0 1; d 2.357, 38.2 deg, I = 71.7, hkl 2 2 0; d 1.491, 62.2 deg, I = 20.5, hkl 3 2 3

Structural model:
Lattice parameters (Å, degrees): 9.4266 9.4266 7.3981 90.00 90.00 120.00
Space group P6_3mc (No. 186)
Unique sites:
Na 0.1348 0.2696 0.0000 (multiplicity 6)
Sr 0.0459 0.5229 0.3296 (multiplicity 6)
Ga 0.3333 0.6667 0.7050 (multiplicity 2)
P 0.1906 0.3811 0.6102 (multiplicity 6)
P 0.3333 0.6667 0.0451 (multiplicity 2)

Entry 2:
This entry pairs a crystal structure of NaSrGaP2 with its calculated powder X-ray diffraction pattern. Radiation: Cu Kα (weighted mean of Kα1 and Kα2). Structure: a DFT-relaxed cell (PBE, Alexandria).
Kinematic intensities with the Lorentz-polarization factor, no thermal factor.

Largest 8 diffraction maxima, low angle first, 2θ from 10° to 90°:
d 7.647, 11.6 deg, I = 100.0, hkl 2 0 -1; d 3.366, 26.5 deg, I = 29.7, hkl 2 0 -3; d 3.202, 27.9 deg, I = 61.8, hkl 3 1 -1; d 3.149, 28.3 deg, I = 46.8, hkl 1 1 -2; d 2.527, 35.5 deg, I = 68.7, hkl 1 1 2; d 2.514, 35.7 deg, I = 27.1, hkl 6 0 -2; d 2.157, 41.9 deg, I = 60.0, hkl 5 1 -4; d 2.077, 43.6 deg, I = 30.5, hkl 0 2 0

Structural model:
Lattice parameters (Å, degrees): 15.3989 4.1533 10.4299 90.00 130.43 90.00
Space group C2/m (No. 12)
Unique sites:
Na 0.1463 0.0000 0.3950 (multiplicity 4)
Sr 0.2176 0.5000 0.1386 (multiplicity 4)
Ga 0.0436 0.5000 0.6833 (multiplicity 4)
P 0.0852 0.0000 0.8545 (multiplicity 4)
P 0.1518 0.5000 0.5849 (multiplicity 4)